Simulated powder XRD pattern of B6N for Cu Kα (weighted mean of Kα1 and Kα2), from DFT lattice parameters and positions (GGA-PBE).
Intensities are scaled so that the largest is 100.

```
B6N
1.0
4.374 0.000 0.000
0.000 3.192 0.000
-2.353 0.000 19.326
B N
24 4
Direct
0.065 0.157 0.234 B
0.065 0.343 0.734 B
0.136 0.706 0.443 B
0.136 0.794 0.943 B
0.196 0.045 0.021 B
0.196 0.455 0.521 B
0.303 0.207 0.443 B
0.303 0.293 0.943 B
0.327 0.545 0.021 B
0.327 0.955 0.521 B
0.340 0.701 0.264 B
0.340 0.799 0.764 B
0.660 0.201 0.236 B
0.660 0.299 0.736 B
0.673 0.045 0.479 B
0.673 0.455 0.979 B
0.697 0.707 0.057 B
0.697 0.793 0.557 B
0.804 0.545 0.479 B
0.804 0.955 0.979 B
0.864 0.206 0.057 B
0.864 0.294 0.557 B
0.935 0.657 0.266 B
0.935 0.843 0.766 B
0.357 0.009 0.209 N
0.357 0.491 0.709 N
0.643 0.509 0.291 N
0.643 0.991 0.791 N
```

The 6 most intense peaks (2θ = 15–90°), sorted by position:
- 2θ = 18.36°, intensity 100
- 2θ = 25.88°, intensity 6
- 2θ = 34.86°, intensity 5
- 2θ = 36.51°, intensity 4
- 2θ = 38.61°, intensity 4
- 2θ = 41.55°, intensity 4

***

Simulated powder XRD pattern of B2N for Cu Kα (weighted mean of Kα1 and Kα2), from DFT lattice parameters and positions (GGA-PBE).
Intensities are scaled so that the largest is 100.

```
B2N
1.0
-1.250 1.250 6.265
1.250 -1.250 6.265
1.250 1.250 -6.265
B N
4 2
Direct
0.000 0.000 0.000 B
0.355 0.355 0.000 B
0.645 0.645 0.000 B
0.750 0.250 0.500 B
0.074 0.574 0.500 N
0.426 0.926 0.500 N
```

The 6 most intense peaks (2θ = 15–90°), sorted by position:
- 2θ = 42.12°, intensity 100
- 2θ = 51.65°, intensity 8
- 2θ = 69.69°, intensity 24
- 2θ = 76.14°, intensity 12
- 2θ = 78.66°, intensity 7
- 2θ = 82.23°, intensity 5

***

Simulated powder XRD pattern of NaB2N for Cu Kα (weighted mean of Kα1 and Kα2), from DFT lattice parameters and positions (GGA-PBE).
Intensities are scaled so that the largest is 100.

```
NaB2N
1.0
-2.804 2.804 2.189
2.804 -2.804 2.189
2.804 2.804 -2.189
Na B N
2 4 2
Direct
0.000 0.000 0.000 Na
0.750 0.250 0.500 Na
0.229 0.625 0.104 B
0.375 0.479 0.604 B
0.521 0.125 0.896 B
0.875 0.771 0.396 B
0.250 0.750 0.500 N
0.500 0.500 0.000 N
```

The 6 most intense peaks (2θ = 15–90°), sorted by position:
- 2θ = 31.92°, intensity 85
- 2θ = 41.49°, intensity 45
- 2θ = 45.76°, intensity 63
- 2θ = 47.44°, intensity 100
- 2θ = 68.03°, intensity 50
- 2θ = 75.87°, intensity 21

***

Simulated powder XRD pattern of NaSr2BN2 for Cu Kα (weighted mean of Kα1 and Kα2), from DFT lattice parameters and positions (GGA-PBE).
Intensities are scaled so that the largest is 100.

```
NaSr2BN2
1.0
-2.571 2.571 4.593
2.571 -2.571 4.593
2.571 2.571 -4.593
Na Sr B N
1 2 1 2
Direct
0.000 0.000 0.000 Na
0.250 0.750 0.500 Sr
0.750 0.250 0.500 Sr
0.500 0.500 0.000 B
0.351 0.351 0.000 N
0.649 0.649 0.000 N
```

The 6 most intense peaks (2θ = 15–90°), sorted by position:
- 2θ = 19.32°, intensity 47
- 2θ = 24.48°, intensity 29
- 2θ = 31.38°, intensity 100
- 2θ = 34.90°, intensity 52
- 2θ = 40.20°, intensity 29
- 2θ = 60.39°, intensity 31

***

Simulated powder XRD pattern of Nd2BN3 for Cu Kα (weighted mean of Kα1 and Kα2), from DFT lattice parameters and positions (GGA-PBE).
Intensities are scaled so that the largest is 100.

```
Nd2BN3
1.0
-1.733 2.172 5.553
1.733 -2.172 5.553
1.733 2.172 -5.553
Nd B N
2 1 3
Direct
0.146 0.146 0.000 Nd
0.854 0.854 0.000 Nd
0.500 0.500 0.000 B
0.000 0.500 0.500 N
0.370 0.370 0.000 N
0.630 0.630 0.000 N
```

The 6 most intense peaks (2θ = 15–90°), sorted by position:
- 2θ = 21.97°, intensity 75
- 2θ = 31.76°, intensity 66
- 2θ = 32.24°, intensity 36
- 2θ = 33.06°, intensity 100
- 2θ = 35.48°, intensity 61
- 2θ = 46.85°, intensity 60

***

Simulated powder XRD pattern of Nd2B3N2 for Cu Kα (weighted mean of Kα1 and Kα2), from DFT lattice parameters and positions (GGA-PBE).
Intensities are scaled so that the largest is 100.

```
Nd2B3N2
1.0
3.380 0.000 0.000
0.000 3.985 0.000
-1.707 0.000 6.585
Nd B N
2 3 2
Direct
0.131 0.000 0.270 Nd
0.869 0.000 0.730 Nd
0.283 0.500 0.563 B
0.500 0.500 0.000 B
0.717 0.500 0.437 B
0.398 0.500 0.791 N
0.602 0.500 0.209 N
```

The 6 most intense peaks (2θ = 15–90°), sorted by position:
- 2θ = 22.31°, intensity 86
- 2θ = 27.08°, intensity 82
- 2θ = 33.46°, intensity 61
- 2θ = 35.36°, intensity 77
- 2θ = 35.49°, intensity 100
- 2θ = 40.58°, intensity 87

***

Simulated powder XRD pattern of NdB2N3 for Cu Kα (weighted mean of Kα1 and Kα2), from DFT lattice parameters and positions (GGA-PBE).
Intensities are scaled so that the largest is 100.

```
NdB2N3
1.0
5.742 0.000 0.000
0.000 8.313 0.000
0.000 0.000 3.819
Nd B N
2 4 6
Direct
0.250 0.250 0.246 Nd
0.750 0.750 0.754 Nd
0.250 0.588 0.746 B
0.250 0.912 0.746 B
0.750 0.088 0.254 B
0.750 0.412 0.254 B
0.250 0.070 0.746 N
0.250 0.430 0.746 N
0.250 0.750 0.748 N
0.750 0.250 0.252 N
0.750 0.570 0.254 N
0.750 0.930 0.254 N
```

The 6 most intense peaks (2θ = 15–90°), sorted by position:
- 2θ = 18.78°, intensity 100
- 2θ = 21.38°, intensity 37
- 2θ = 25.67°, intensity 67
- 2θ = 35.55°, intensity 57
- 2θ = 40.79°, intensity 38
- 2θ = 51.69°, intensity 36

***

Simulated powder XRD pattern of PmNdBN3 for Cu Kα (weighted mean of Kα1 and Kα2), from DFT lattice parameters and positions (GGA-PBE).
Intensities are scaled so that the largest is 100.

```
PmNdBN3
1.0
5.664 0.000 0.000
-2.832 4.905 0.000
0.000 0.000 6.330
Pm Nd B N
2 2 2 6
Direct
0.000 0.000 0.000 Pm
0.000 0.000 0.500 Pm
0.333 0.667 0.250 Nd
0.667 0.333 0.750 Nd
0.333 0.667 0.750 B
0.667 0.333 0.250 B
0.185 0.370 0.750 N
0.185 0.815 0.750 N
0.370 0.185 0.250 N
0.630 0.815 0.750 N
0.815 0.185 0.250 N
0.815 0.630 0.250 N
```

The 6 most intense peaks (2θ = 15–90°), sorted by position:
- 2θ = 22.94°, intensity 54
- 2θ = 31.59°, intensity 100
- 2θ = 33.70°, intensity 100
- 2θ = 39.40°, intensity 30
- 2θ = 46.86°, intensity 56
- 2θ = 57.62°, intensity 48

***

Simulated powder XRD pattern of SrNdBN2 for Cu Kα (weighted mean of Kα1 and Kα2), from DFT lattice parameters and positions (GGA-PBE).
Intensities are scaled so that the largest is 100.

```
SrNdBN2
1.0
5.245 0.000 0.000
0.000 5.351 0.000
0.000 0.000 6.995
Sr Nd B N
2 2 2 4
Direct
0.000 0.000 0.250 Sr
0.000 0.000 0.750 Sr
0.500 0.500 0.250 Nd
0.500 0.500 0.750 Nd
0.000 0.500 0.000 B
0.000 0.500 0.500 B
0.201 0.338 0.000 N
0.201 0.662 0.500 N
0.799 0.338 0.500 N
0.799 0.662 0.000 N
```

The 6 most intense peaks (2θ = 15–90°), sorted by position:
- 2θ = 23.76°, intensity 100
- 2θ = 25.47°, intensity 33
- 2θ = 33.50°, intensity 23
- 2θ = 35.11°, intensity 92
- 2θ = 42.55°, intensity 25
- 2θ = 43.11°, intensity 26

***

Simulated powder XRD pattern of Ni6BPt2N for Cu Kα (weighted mean of Kα1 and Kα2), from DFT lattice parameters and positions (GGA-PBE).
Intensities are scaled so that the largest is 100.

```
Ni6BPt2N
1.0
-2.651 2.651 3.950
2.651 -2.651 3.950
2.651 2.651 -3.950
Ni B Pt N
6 1 2 1
Direct
0.000 0.000 0.000 Ni
0.026 0.026 0.489 Ni
0.026 0.537 0.000 Ni
0.497 0.497 0.000 Ni
0.537 0.026 0.000 Ni
0.537 0.537 0.511 Ni
0.235 0.235 0.000 B
0.030 0.530 0.500 Pt
0.530 0.030 0.500 Pt
0.729 0.729 0.000 N
```

The 6 most intense peaks (2θ = 15–90°), sorted by position:
- 2θ = 23.73°, intensity 19
- 2θ = 32.94°, intensity 26
- 2θ = 41.00°, intensity 100
- 2θ = 48.56°, intensity 34
- 2θ = 69.08°, intensity 20
- 2θ = 85.50°, intensity 23

***

Simulated powder XRD pattern of TcBN2O for Cu Kα (weighted mean of Kα1 and Kα2), from DFT lattice parameters and positions (GGA-PBE).
Intensities are scaled so that the largest is 100.

```
TcBN2O
1.0
3.350 0.000 0.000
0.000 3.350 0.000
0.000 0.000 3.417
Tc B N O
1 1 2 1
Direct
0.000 0.000 0.000 Tc
0.500 0.500 0.500 B
0.000 0.500 0.500 N
0.500 0.000 0.500 N
0.500 0.500 0.000 O
```

The 6 most intense peaks (2θ = 15–90°), sorted by position:
- 2θ = 26.07°, intensity 45
- 2θ = 26.61°, intensity 74
- 2θ = 37.60°, intensity 90
- 2θ = 37.98°, intensity 50
- 2θ = 46.65°, intensity 100
- 2θ = 54.80°, intensity 36

***

Simulated powder XRD pattern of B6OsN6 for Cu Kα (weighted mean of Kα1 and Kα2), from DFT lattice parameters and positions (GGA-PBE).
Intensities are scaled so that the largest is 100.

```
B6OsN6
1.0
4.594 0.000 0.000
0.000 4.594 0.000
0.000 0.000 4.594
B Os N
6 1 6
Direct
0.000 0.242 0.500 B
0.000 0.758 0.500 B
0.242 0.500 0.000 B
0.500 0.000 0.242 B
0.500 0.000 0.758 B
0.758 0.500 0.000 B
0.000 0.000 0.000 Os
0.000 0.500 0.254 N
0.000 0.500 0.746 N
0.254 0.000 0.500 N
0.500 0.254 0.000 N
0.500 0.746 0.000 N
0.746 0.000 0.500 N
```

The 6 most intense peaks (2θ = 15–90°), sorted by position:
- 2θ = 19.32°, intensity 100
- 2θ = 27.46°, intensity 47
- 2θ = 33.80°, intensity 33
- 2θ = 44.08°, intensity 49
- 2θ = 48.55°, intensity 53
- 2θ = 77.80°, intensity 25

***

Please write out number 2 again, unchanged.
Simulated powder XRD pattern of B2N for Cu Kα (weighted mean of Kα1 and Kα2), from DFT lattice parameters and positions (GGA-PBE).
Intensities are scaled so that the largest is 100.

```
B2N
1.0
-1.250 1.250 6.265
1.250 -1.250 6.265
1.250 1.250 -6.265
B N
4 2
Direct
0.000 0.000 0.000 B
0.355 0.355 0.000 B
0.645 0.645 0.000 B
0.750 0.250 0.500 B
0.074 0.574 0.500 N
0.426 0.926 0.500 N
```

The 6 most intense peaks (2θ = 15–90°), sorted by position:
- 2θ = 42.12°, intensity 100
- 2θ = 51.65°, intensity 8
- 2θ = 69.69°, intensity 24
- 2θ = 76.14°, intensity 12
- 2θ = 78.66°, intensity 7
- 2θ = 82.23°, intensity 5